Diffraction record for CrF5. The X-ray powder pattern is theoretical, not measured: it uses the PBE+U geometry in Alexandria and copper Kα.
Peak positions follow from Bragg's law for the DFT cell and can differ from measured ones.

Crystal structure
Cell: 8.2211 7.7681 5.6173 Å, 90.00 90.00 90.00°
Space group Pbcm (No. 57)
Asymmetric unit:
Cr1 0.2430 0.0894 0.2500 [4 per cell]
F1 0.0409 0.0258 0.2500 [4 per cell]
F2 0.1650 0.2500 0.0000 [4 per cell]
F3 0.3067 0.5507 0.5262 [8 per cell]
F4 0.4160 0.2170 0.2500 [4 per cell]

The 10 most intense peaks (10 to 80 degrees two-theta), by intensity:
(hkl)	2theta	I_rel
1 1 1	22.32	100
1 1 0	15.69	69
2 0 0	21.62	35
0 2 1	27.93	29
1 3 2	49.12	25
1 2 2	41.16	17
2 2 1	35.59	11
3 2 0	40.28	9
0 2 0	22.90	9
1 1 2	35.70	9